This entry pairs a crystal structure of Sm2Ga5Au with its calculated XRD peak list. Radiation: Cu Kα. Structure: a DFT-relaxed cell (PBE, Alexandria).
Lines closer than 0.1° are merged.

Top 10 peaks for 5 to 70 degrees two-theta, by angle:
| Position (°2θ) | I_rel |
| --- | --- |
| 17.59 | 15 |
| 28.77 | 19 |
| 29.23 | 13 |
| 33.53 | 20 |
| 34.32 | 16 |
| 35.62 | 100 |
| 41.81 | 43 |
| 45.81 | 16 |
| 60.61 | 13 |
| 63.73 | 15 |

Cell and atoms:
```
data_Sm2Ga5Au
_cell_length_a 6.1109
_cell_length_b 6.1109
_cell_length_c 8.9160
_cell_angle_alpha 90.00
_cell_angle_beta 90.00
_cell_angle_gamma 90.00
_space_group_name_H-M_alt 'I 4 m m'
_space_group_IT_number 107
_space_group_name_Hall 'I 4 -2'
loop_
_atom_site_label
_atom_site_type_symbol
_atom_site_fract_x
_atom_site_fract_y
_atom_site_fract_z
_atom_site_occupancy
Sm1 Sm 0.0000 0.5000 0.0000 1
Ga1 Ga 0.0000 0.0000 0.0313 1
Ga2 Ga 0.2254 0.2254 0.7486 1
Au1 Au 0.0000 0.0000 0.3991 1
```